(1)
# Ta3In3B2O12
Simulated PXRD pattern, Cu Kα (λ = 1.5418 Å). Input: a cell relaxed with GGA-PBE.
Neutral-atom scattering factors, no anomalous dispersion.

Main lines, sorted by position (10 to 90 degrees two-theta):
Position (°2θ)	I/Imax	h k l
20.05	47	1 1 0
25.47	26	1 0 1
30.42	100	1 1 1
30.85	88	2 1 0
32.63	38	2 0 1
46.21	19	0 0 2
48.68	22	3 1 1
53.15	23	4 0 1
56.60	32	2 1 2
57.38	26	3 2 1

Cell and atoms:
Cell: 8.8557 8.8557 3.9290 Å, 90.00 90.00 120.00°
Space group P-62m (No. 189)
Inequivalent atoms, fractional coordinates:
Ta 0.0000 0.7525 0.0000 (multiplicity 3)
In 0.0000 0.4018 0.5000 (multiplicity 3)
B 0.3333 0.6667 0.0000 (multiplicity 2)
O 0.0000 0.1780 0.0000 (multiplicity 3)
O 0.0000 0.7384 0.5000 (multiplicity 3)
O 0.1891 0.6866 0.0000 (multiplicity 6)


(2)
# Y7Co6Sn23
Simulated PXRD pattern, Cu Kα (λ = 1.5418 Å). Input: a cell relaxed with GGA-PBE.
Neutral-atom scattering factors, no anomalous dispersion.

Main lines, sorted by position (10 to 90 degrees two-theta):
Position (°2θ)	I/Imax	h k l
29.49	17	2 1 1
32.74	21	1 1 3
33.19	100	0 3 1
33.46	58	2 1 2
34.48	39	2 0 3
36.80	42	3 0 2
37.01	20	2 2 0
37.79	25	0 1 4
56.84	42	3 3 0
60.78	22	2 3 4

Cell and atoms:
Cell: 9.7165 9.7165 9.9291 Å, 90.00 90.00 120.00°
Space group P-3m1 (No. 164)
Inequivalent atoms, fractional coordinates:
Y 0.0000 0.0000 0.0000 (multiplicity 1)
Y 0.0438 0.5219 0.3068 (multiplicity 6)
Co 0.1679 0.3357 0.8022 (multiplicity 6)
Sn 0.0000 0.0000 0.5000 (multiplicity 1)
Sn 0.0000 0.3464 0.0000 (multiplicity 6)
Sn 0.1171 0.2342 0.2745 (multiplicity 6)
Sn 0.2183 0.4366 0.5475 (multiplicity 6)
Sn 0.3333 0.6667 0.1136 (multiplicity 2)
Sn 0.3333 0.6667 0.8190 (multiplicity 2)


(3)
# CsHg3MoSe4
Simulated PXRD pattern, Cu Kα (λ = 1.5418 Å). Input: a cell relaxed with GGA-PBE.
Neutral-atom scattering factors, no anomalous dispersion.

Main lines, sorted by position (10 to 90 degrees two-theta):
Position (°2θ)	I/Imax	h k l
12.13	51	1 0 0
21.08	100	1 1 1
24.39	44	2 0 0
34.77	96	2 2 0
41.01	59	3 1 1
42.93	19	2 2 2
56.38	34	4 2 0
62.32	26	4 2 2
77.35	22	5 3 1
78.65	19	6 0 0

Cell and atoms:
Cell: 7.2986 7.2986 7.2986 Å, 90.00 90.00 90.00°
Space group P-43m (No. 215)
Inequivalent atoms, fractional coordinates:
Cs 0.0000 0.0000 0.0000 (multiplicity 1)
Hg 0.0000 0.5000 0.5000 (multiplicity 3)
Mo 0.5000 0.5000 0.5000 (multiplicity 1)
Se 0.3127 0.3127 0.3127 (multiplicity 4)


(4)
# SmYNi2C4
Simulated PXRD pattern, Cu Kα (λ = 1.5418 Å). Input: a cell relaxed with GGA-PBE.
Neutral-atom scattering factors, no anomalous dispersion.

Main lines, sorted by position (10 to 90 degrees two-theta):
Position (°2θ)	I/Imax	h k l
27.58	100	1 0 1
34.74	77	1 0 2
36.27	55	0 0 3
37.42	93	1 1 1
43.14	76	1 1 2
50.83	49	2 0 0
58.81	27	2 1 1
61.88	22	1 1 4
63.04	27	2 1 2
64.04	40	2 0 3

Cell and atoms:
Cell: 3.5923 3.5923 7.4296 Å, 90.00 90.00 90.00°
Space group P4mm (No. 99)
Inequivalent atoms, fractional coordinates:
Sm 0.0000 0.0000 0.0000 (multiplicity 1)
Y 0.5000 0.5000 0.3397 (multiplicity 1)
Ni 0.0000 0.5000 0.6704 (multiplicity 2)
C 0.0000 0.0000 0.3352 (multiplicity 1)
C 0.0000 0.0000 0.5204 (multiplicity 1)
C 0.5000 0.5000 0.0139 (multiplicity 1)
C 0.5000 0.5000 0.8283 (multiplicity 1)


(5)
# MgFe2Bi
Simulated PXRD pattern, Cu Kα (λ = 1.5418 Å). Input: a cell relaxed with GGA-PBE.
Neutral-atom scattering factors, no anomalous dispersion.

Main lines, sorted by position (10 to 90 degrees two-theta):
Position (°2θ)	I/Imax	h k l
13.56	25	1 0 0
23.60	17	1 1 1
27.32	16	2 0 0
30.61	40	2 1 0
39.01	100	2 2 0
41.49	16	3 0 0
56.36	16	4 0 0
58.26	14	3 2 2
63.74	10	4 2 0
70.67	30	4 2 2

Cell and atoms:
Cell: 6.5298 6.5298 6.5298 Å, 90.00 90.00 90.00°
Space group Pm-3m (No. 221)
Inequivalent atoms, fractional coordinates:
Mg 0.0000 0.0000 0.0000 (multiplicity 1)
Mg 0.0000 0.0000 0.5000 (multiplicity 3)
Fe 0.2228 0.2228 0.2228 (multiplicity 8)
Bi 0.0000 0.5000 0.5000 (multiplicity 3)
Bi 0.5000 0.5000 0.5000 (multiplicity 1)


(6)
# SmDyNi2I2
Simulated PXRD pattern, Cu Kα (λ = 1.5418 Å). Input: a cell relaxed with GGA-PBE.
Neutral-atom scattering factors, no anomalous dispersion.

Main lines, sorted by position (10 to 90 degrees two-theta):
Position (°2θ)	I/Imax	h k l
26.22	53	1 0 1
29.23	29	1 0 2
33.71	100	1 0 3
39.21	27	0 1 4
44.30	47	1 1 0
45.01	19	0 0 6
52.22	9	0 2 1
56.80	22	0 2 3
65.02	25	1 1 6
74.74	19	2 1 3

Cell and atoms:
Cell: 4.0893 4.0893 12.0774 Å, 90.00 90.00 120.00°
Space group P3m1 (No. 156)
Inequivalent atoms, fractional coordinates:
Sm 0.0000 0.0000 0.0000 (multiplicity 1)
Dy 0.0000 0.0000 0.6977 (multiplicity 1)
Ni 0.3333 0.6667 0.8536 (multiplicity 1)
Ni 0.6667 0.3333 0.8420 (multiplicity 1)
I 0.3333 0.6667 0.5187 (multiplicity 1)
I 0.6667 0.3333 0.1800 (multiplicity 1)


(7)
# CoMo2Ir5
Simulated PXRD pattern, Cu Kα (λ = 1.5418 Å). Input: a cell relaxed with GGA-PBE.
Neutral-atom scattering factors, no anomalous dispersion.

Main lines, sorted by position (10 to 90 degrees two-theta):
Position (°2θ)	I/Imax	h k l
18.68	7	0 0 2
27.74	10	1 0 2
37.87	25	0 0 4
41.32	25	2 0 0
43.35	100	1 2 2
57.29	15	2 0 4
68.40	17	0 4 0
76.75	19	3 2 2
83.16	20	2 4 0
84.50	10	1 4 4

Cell and atoms:
Cell: 4.3702 5.4906 9.4943 Å, 90.00 90.00 90.00°
Space group Amm2 (No. 38)
Inequivalent atoms, fractional coordinates:
Co 0.0000 0.0000 0.0000 (multiplicity 2)
Mo 0.0000 0.0000 0.4985 (multiplicity 2)
Mo 0.5000 0.0000 0.1620 (multiplicity 2)
Ir 0.0000 0.2489 0.7485 (multiplicity 4)
Ir 0.5000 0.0000 0.6674 (multiplicity 2)
Ir 0.5000 0.2438 0.9186 (multiplicity 4)


(8)
# Mg2CoB6
Simulated PXRD pattern, Cu Kα (λ = 1.5418 Å). Input: a cell relaxed with GGA-PBE.
Neutral-atom scattering factors, no anomalous dispersion.

Main lines, sorted by position (10 to 90 degrees two-theta):
Position (°2θ)	I/Imax	h k l
16.08	64	0 2 0
19.02	70	1 2 0
21.82	80	2 1 0
27.40	57	0 0 1
34.11	56	1 4 0
42.36	83	3 1 1
42.45	63	2 3 1
44.30	100	1 4 1
44.81	53	3 2 1
48.66	62	3 3 1

Cell and atoms:
Cell: 8.7662 11.0207 3.2549 Å, 90.00 90.00 90.00°
Space group Pbam (No. 55)
Inequivalent atoms, fractional coordinates:
Mg 0.0570 0.1300 0.0000 (multiplicity 4)
Mg 0.1761 0.4146 0.0000 (multiplicity 4)
Co 0.1410 0.6813 0.0000 (multiplicity 4)
B 0.0177 0.2887 0.5000 (multiplicity 4)
B 0.0557 0.5660 0.5000 (multiplicity 4)
B 0.0959 0.9740 0.5000 (multiplicity 4)
B 0.1304 0.8176 0.5000 (multiplicity 4)
B 0.2064 0.2374 0.5000 (multiplicity 4)
B 0.2476 0.0803 0.5000 (multiplicity 4)